# Na3AgSn12
Simulated powder diffraction line list, CuKα. Input: a DFT-relaxed cell (PBE, Alexandria).

Atomic structure:
```
Na3AgSn12
1.0
4.6623 0.0000 0.0000
0.0000 4.6623 0.0000
0.0000 0.0000 19.3873
Na Ag Sn
3 1 12
direct
0.0000 0.0000 0.0000
0.0000 0.0000 0.2523
0.0000 0.0000 0.7477
0.0000 0.0000 0.5000
0.0000 0.5000 0.1261
0.0000 0.5000 0.3802
0.0000 0.5000 0.6198
0.0000 0.5000 0.8739
0.5000 0.0000 0.1261
0.5000 0.0000 0.3802
0.5000 0.0000 0.6198
0.5000 0.0000 0.8739
0.5000 0.5000 0.0000
0.5000 0.5000 0.2516
0.5000 0.5000 0.5000
0.5000 0.5000 0.7484
```

Most intense lines, 2θ from 15° to 90°, most intense first:
hkl 1 1 4, d 2.726, I 100; hkl 2 0 0, d 2.331, I 33; hkl 3 1 4, d 1.411, I 27; hkl 2 0 8, d 1.680, I 24; hkl 0 0 8, d 2.423, I 18; hkl 1 1 12, d 1.451, I 14; hkl 2 2 8, d 1.363, I 12; hkl 2 2 0, d 1.648, I 11; hkl 1 0 0, d 4.662, I 6; hkl 1 0 4, d 3.360, I 6